For VH2PbF8, a crystal structure in Alexandria, relaxed with GGA+U gives the theoretical powder diffraction line list in this record (Cu Kα).
Lines closer than 0.1° are merged.

Structure:
abc: 4.928 5.024 7.179
angles: 97.51 93.51 108.05
Space group P-1 (No. 2)
Inequivalent atoms, fractional coordinates:
V (0.000, 0.000, 0.000) x1
H (0.297, 0.535, 0.322) x2
Pb (0.000, 0.000, 0.500) x1
F (0.211, 0.210, 0.821) x2
F (0.223, 0.262, 0.230) x2
F (0.236, 0.794, 0.005) x2
F (0.337, 0.704, 0.427) x2

Principal peaks in the range 2θ from 10° to 80°, sorted by position:
2θ 12.51, d = 7.076 Å, intensity 53; 2θ 18.81, d = 4.717 Å, intensity 100; 2θ 19.05, d = 4.658 Å, intensity 93; 2θ 22.10, d = 4.022 Å, intensity 76; 2θ 25.17, d = 3.538 Å, intensity 48; 2θ 29.06, d = 3.072 Å, intensity 37; 2θ 31.02, d = 2.883 Å, intensity 30; 2θ 33.42, d = 2.681 Å, intensity 29; 2θ 36.83, d = 2.440 Å, intensity 56; 2θ 43.63, d = 2.075 Å, intensity 35